Diffraction record for MgCrCo5O12. The powder XRD pattern is simulated, not measured: it uses a crystal structure in the Materials Project, relaxed with GGA+U and a wavelength of 1.5418 Å.
Neutral-atom scattering factors, no anomalous dispersion.

Structural model:
a = 4.940 Å, b = 4.940 Å, c = 9.995 Å
α = 82.20°, β = 85.93°, γ = 60.02°
Space group P1 (No. 1)
One atom of each set of equivalent atoms:
Mg 0.000 0.000 0.000 [1 per cell]
Cr 0.660 0.072 0.745 [1 per cell]
Co 0.001 0.927 0.259 [1 per cell]
Co 0.331 0.736 0.749 [1 per cell]
Co 0.334 0.264 0.247 [1 per cell]
Co 0.667 0.597 0.247 [1 per cell]
Co 0.996 0.406 0.749 [1 per cell]
O 0.000 0.558 0.343 [1 per cell]
O 0.001 0.278 0.149 [1 per cell]
O 0.007 0.713 0.855 [1 per cell]
O 0.014 0.098 0.653 [1 per cell]
O 0.310 0.043 0.855 [1 per cell]
O 0.312 0.446 0.653 [1 per cell]
O 0.323 0.635 0.149 [1 per cell]
O 0.346 0.904 0.343 [1 per cell]
O 0.654 0.250 0.343 [1 per cell]
O 0.662 0.748 0.653 [1 per cell]
O 0.677 0.373 0.855 [1 per cell]
O 0.680 0.957 0.149 [1 per cell]

Top 10 peaks for 2θ from 10° to 80°, low angle first:
17.92°, d 4.951, I = 100, hkl 0 0 2; 36.73°, d 2.447, I = 8, hkl 1 2 0; 36.98°, d 2.431, I = 15, hkl -1 1 1; 38.23°, d 2.354, I = 14, hkl 1 -1 1; 44.28°, d 2.046, I = 7, hkl 2 1 3; 44.41°, d 2.040, I = 7, hkl -1 1 3; 47.45°, d 1.916, I = 7, hkl 1 -1 3; 47.61°, d 1.910, I = 7, hkl 2 1 -3; 48.64°, d 1.872, I = 7, hkl 1 2 4; 65.46°, d 1.426, I = 13, hkl 3 0 0


Diffraction record for MgCrCo5O12. The powder XRD pattern is simulated, not measured: it uses a crystal structure in the Materials Project, relaxed with GGA+U and a wavelength of 1.5418 Å.
Neutral-atom scattering factors, no anomalous dispersion.

Structural model:
a = 4.957 Å, b = 4.963 Å, c = 10.024 Å
α = 93.91°, β = 94.31°, γ = 119.45°
Space group P1 (No. 1)
One atom of each set of equivalent atoms:
Mg 0.000 0.000 0.000 [1 per cell]
Cr 0.589 0.255 0.751 [1 per cell]
Co 0.057 0.728 0.249 [1 per cell]
Co 0.255 0.588 0.752 [1 per cell]
Co 0.393 0.396 0.254 [1 per cell]
Co 0.727 0.059 0.248 [1 per cell]
Co 0.916 0.916 0.734 [1 per cell]
O 0.029 0.354 0.148 [1 per cell]
O 0.055 0.057 0.347 [1 per cell]
O 0.223 0.879 0.652 [1 per cell]
O 0.257 0.265 0.851 [1 per cell]
O 0.351 0.033 0.149 [1 per cell]
O 0.423 0.762 0.340 [1 per cell]
O 0.549 0.564 0.651 [1 per cell]
O 0.634 0.939 0.851 [1 per cell]
O 0.728 0.731 0.139 [1 per cell]
O 0.761 0.424 0.340 [1 per cell]
O 0.908 0.237 0.651 [1 per cell]
O 0.960 0.641 0.851 [1 per cell]

Top 10 peaks for 2θ from 10° to 80°, low angle first:
17.88°, d 4.961, I = 100, hkl 0 0 2; 36.30°, d 2.475, I = 9, hkl 1 1 0; 36.82°, d 2.441, I = 16, hkl 1 -2 1; 38.22°, d 2.355, I = 14, hkl 1 1 -2; 43.10°, d 2.099, I = 7, hkl 1 1 2; 44.07°, d 2.055, I = 7, hkl -2 1 3; 44.20°, d 2.049, I = 7, hkl 1 -2 3; 47.33°, d 1.921, I = 8, hkl -1 2 3; 47.54°, d 1.913, I = 8, hkl 2 -1 3; 64.77°, d 1.439, I = 9, hkl 0 3 -1


Diffraction record for Mn3Cr2Co3O16. The powder XRD pattern is simulated, not measured: it uses a crystal structure in the Materials Project, relaxed with GGA+U and a wavelength of 1.5418 Å.
Neutral-atom scattering factors, no anomalous dispersion.

Structural model:
a = 9.831 Å, b = 5.711 Å, c = 8.801 Å
α = 90.00°, β = 90.81°, γ = 90.00°
Space group Cm (No. 8)
One atom of each set of equivalent atoms:
Mn 0.000 0.000 0.000 [2 per cell]
Mn 0.415 0.247 0.500 [4 per cell]
Cr 0.000 0.500 0.222 [2 per cell]
Cr 0.165 0.000 0.724 [2 per cell]
Co 0.165 0.500 0.504 [2 per cell]
Co 0.248 0.248 0.003 [4 per cell]
O 0.001 0.000 0.613 [2 per cell]
O 0.074 0.285 0.375 [4 per cell]
O 0.095 0.222 0.875 [4 per cell]
O 0.167 0.500 0.105 [2 per cell]
O 0.168 0.000 0.112 [2 per cell]
O 0.247 0.254 0.609 [4 per cell]
O 0.309 0.000 0.881 [2 per cell]
O 0.329 0.500 0.896 [2 per cell]
O 0.330 0.500 0.393 [2 per cell]
O 0.351 0.000 0.371 [2 per cell]
O 0.414 0.248 0.109 [4 per cell]
O 0.499 0.000 0.612 [2 per cell]

Top 10 peaks for 2θ from 10° to 80°, low angle first:
20.18°, d 4.400, I = 100, hkl 0 0 2; 20.57°, d 4.319, I = 77, hkl 2 0 -1; 20.69°, d 4.293, I = 44, hkl 1 1 1; 37.50°, d 2.398, I = 43, hkl 3 1 -2; 37.90°, d 2.374, I = 58, hkl 4 0 -1; 41.83°, d 2.159, I = 29, hkl 2 2 -2; 47.98°, d 1.896, I = 40, hkl 2 2 -3; 48.35°, d 1.882, I = 25, hkl 2 2 3; 65.34°, d 1.428, I = 35, hkl 0 4 0; 65.71°, d 1.421, I = 42, hkl 6 2 0


Diffraction record for CrCo2O6. The powder XRD pattern is simulated, not measured: it uses a crystal structure in the Materials Project, relaxed with GGA+U and a wavelength of 1.5418 Å.
Neutral-atom scattering factors, no anomalous dispersion.

Structural model:
a = 8.520 Å, b = 5.019 Å, c = 9.719 Å
α = 90.00°, β = 90.00°, γ = 90.00°
Space group Cmce (No. 64)
One atom of each set of equivalent atoms:
Cr 0.000 0.000 0.000 [4 per cell]
Co 0.166 0.000 0.500 [8 per cell]
O 0.000 0.158 0.402 [8 per cell]
O 0.168 0.170 0.097 [16 per cell]

Top 10 peaks for 2θ from 10° to 80°, low angle first:
18.26°, d 4.860, I = 100, hkl 0 0 2; 35.78°, d 2.509, I = 6, hkl 0 2 0; 37.00°, d 2.430, I = 5, hkl 0 0 4; 37.55°, d 2.395, I = 25, hkl 3 1 1; 40.46°, d 2.230, I = 14, hkl 0 2 2; 40.97°, d 2.203, I = 6, hkl 3 1 2; 46.20°, d 1.965, I = 26, hkl 3 1 3; 52.42°, d 1.746, I = 11, hkl 0 2 4; 60.60°, d 1.528, I = 14, hkl 3 1 5; 65.46°, d 1.426, I = 13, hkl 3 3 1


Diffraction record for CrCoO4. The powder XRD pattern is simulated, not measured: it uses a crystal structure in the Materials Project, relaxed with GGA+U and a wavelength of 1.5418 Å.
Neutral-atom scattering factors, no anomalous dispersion.

Structural model:
a = 8.421 Å, b = 5.566 Å, c = 6.391 Å
α = 90.00°, β = 90.05°, γ = 90.00°
Space group C2/m (No. 12)
One atom of each set of equivalent atoms:
Cr 0.145 0.000 0.251 [4 per cell]
Co 0.000 0.500 0.000 [2 per cell]
Co 0.000 0.500 0.500 [2 per cell]
O 0.030 0.254 0.251 [8 per cell]
O 0.241 0.500 0.542 [4 per cell]
O 0.241 0.500 0.957 [4 per cell]

Top 10 peaks for 2θ from 10° to 80°, low angle first:
19.11°, d 4.644, I = 24, hkl 1 1 0; 21.10°, d 4.211, I = 20, hkl 2 0 0; 23.68°, d 3.757, I = 77, hkl 1 1 1; 25.33°, d 3.516, I = 50, hkl 2 0 1; 32.16°, d 2.783, I = 43, hkl 0 2 0; 34.06°, d 2.632, I = 100, hkl 1 1 -2; 35.83°, d 2.506, I = 53, hkl 3 1 0; 48.46°, d 1.878, I = 23, hkl 2 2 2; 58.56°, d 1.576, I = 20, hkl 1 3 -2; 62.49°, d 1.486, I = 38, hkl 4 2 -2


Diffraction record for CrCo5O12. The powder XRD pattern is simulated, not measured: it uses a crystal structure in the Materials Project, relaxed with GGA+U and a wavelength of 1.5418 Å.
Neutral-atom scattering factors, no anomalous dispersion.

Structural model:
a = 4.920 Å, b = 8.530 Å, c = 9.796 Å
α = 90.00°, β = 90.09°, γ = 90.00°
Space group C2/m (No. 12)
One atom of each set of equivalent atoms:
Cr 0.000 0.000 0.000 [2 per cell]
Co 0.000 0.167 0.500 [4 per cell]
Co 0.000 0.333 0.000 [4 per cell]
Co 0.000 0.500 0.500 [2 per cell]
O 0.160 0.500 0.098 [4 per cell]
O 0.166 0.000 0.403 [4 per cell]
O 0.166 0.333 0.403 [8 per cell]
O 0.170 0.170 0.098 [8 per cell]

Top 10 peaks for 2θ from 10° to 80°, low angle first:
18.11°, d 4.898, I = 100, hkl 0 0 2; 36.53°, d 2.460, I = 6, hkl 2 0 0; 37.68°, d 2.388, I = 27, hkl 1 3 1; 41.05°, d 2.199, I = 19, hkl 2 0 -2; 46.18°, d 1.966, I = 27, hkl 1 3 -3; 52.74°, d 1.736, I = 11, hkl 2 0 4; 60.38°, d 1.533, I = 14, hkl 1 3 -5; 66.50°, d 1.406, I = 13, hkl 3 3 1; 72.57°, d 1.303, I = 4, hkl 3 3 3; 78.64°, d 1.217, I = 5, hkl 1 3 -7


Diffraction record for CrCo2O6. The powder XRD pattern is simulated, not measured: it uses a crystal structure in the Materials Project, relaxed with GGA+U and a wavelength of 1.5418 Å.
Neutral-atom scattering factors, no anomalous dispersion.

Structural model:
a = 12.616 Å, b = 2.847 Å, c = 5.800 Å
α = 90.00°, β = 103.72°, γ = 90.00°
Space group C2/m (No. 12)
One atom of each set of equivalent atoms:
Cr 0.000 0.000 0.000 [2 per cell]
Co 0.168 0.500 0.338 [4 per cell]
O 0.014 0.500 0.228 [4 per cell]
O 0.159 0.000 0.121 [4 per cell]
O 0.180 0.000 0.552 [4 per cell]

Top 10 peaks for 2θ from 10° to 80°, low angle first:
18.69°, d 4.746, I = 100, hkl 2 0 -1; 36.56°, d 2.458, I = 11, hkl 4 0 1; 36.88°, d 2.437, I = 21, hkl 1 1 1; 44.35°, d 2.043, I = 15, hkl 6 0 0; 44.60°, d 2.032, I = 29, hkl 1 1 -2; 48.78°, d 1.867, I = 5, hkl 5 1 -1; 58.75°, d 1.572, I = 10, hkl 3 1 -3; 64.52°, d 1.444, I = 7, hkl 7 1 -2; 64.90°, d 1.437, I = 8, hkl 5 1 2; 68.20°, d 1.375, I = 9, hkl 3 1 3


Diffraction record for CrCoO4. The powder XRD pattern is simulated, not measured: it uses a crystal structure in the Materials Project, relaxed with GGA+U and a wavelength of 1.5418 Å.
Neutral-atom scattering factors, no anomalous dispersion.

Structural model:
a = 10.464 Å, b = 6.084 Å, c = 4.951 Å
α = 90.00°, β = 90.00°, γ = 90.00°
Space group Pnma (No. 62)
One atom of each set of equivalent atoms:
Cr 0.094 0.250 0.092 [4 per cell]
Co 0.231 0.750 0.027 [4 per cell]
O 0.060 0.750 0.831 [4 per cell]
O 0.111 0.250 0.762 [4 per cell]
O 0.172 0.031 0.226 [8 per cell]

Top 10 peaks for 2θ from 10° to 80°, low angle first:
16.95°, d 5.232, I = 32, hkl 2 0 0; 19.84°, d 4.476, I = 76, hkl 1 0 1; 22.41°, d 3.967, I = 38, hkl 2 1 0; 24.71°, d 3.603, I = 50, hkl 1 1 1; 29.36°, d 3.042, I = 62, hkl 0 2 0; 34.75°, d 2.582, I = 100, hkl 3 1 1; 35.69°, d 2.516, I = 27, hkl 1 2 1; 37.37°, d 2.406, I = 22, hkl 4 1 0; 40.27°, d 2.239, I = 24, hkl 1 1 2; 55.61°, d 1.653, I = 24, hkl 3 3 1


Diffraction record for Cr3CoP4O16. The powder XRD pattern is simulated, not measured: it uses a crystal structure in the Materials Project, relaxed with GGA+U and a wavelength of 1.5418 Å.
Neutral-atom scattering factors, no anomalous dispersion.

Structural model:
a = 4.761 Å, b = 5.779 Å, c = 9.926 Å
α = 90.00°, β = 90.46°, γ = 90.00°
Space group Pm (No. 6)
One atom of each set of equivalent atoms:
Cr 0.000 0.000 0.000 [1 per cell]
Cr 0.054 0.500 0.543 [1 per cell]
Cr 0.553 0.000 0.502 [1 per cell]
Co 0.475 0.500 0.050 [1 per cell]
P 0.113 0.000 0.680 [1 per cell]
P 0.450 0.000 0.179 [1 per cell]
P 0.610 0.500 0.364 [1 per cell]
P 0.939 0.500 0.869 [1 per cell]
O 0.202 0.000 0.827 [1 per cell]
O 0.262 0.206 0.601 [2 per cell]
O 0.264 0.500 0.883 [1 per cell]
O 0.293 0.500 0.382 [1 per cell]
O 0.298 0.205 0.099 [2 per cell]
O 0.359 0.000 0.326 [1 per cell]
O 0.694 0.500 0.216 [1 per cell]
O 0.761 0.294 0.443 [2 per cell]
O 0.766 0.000 0.164 [1 per cell]
O 0.796 0.000 0.663 [1 per cell]
O 0.797 0.292 0.944 [2 per cell]
O 0.864 0.500 0.719 [1 per cell]

Top 10 peaks for 2θ from 10° to 80°, low angle first:
17.87°, d 4.963, I = 90, hkl 0 0 2; 20.63°, d 4.306, I = 67, hkl 1 0 -1; 20.76°, d 4.279, I = 54, hkl 1 0 1; 23.63°, d 3.765, I = 37, hkl 0 1 2; 25.80°, d 3.453, I = 66, hkl 1 1 -1; 25.91°, d 3.439, I = 64, hkl 1 1 1; 30.95°, d 2.890, I = 100, hkl 0 2 0; 36.43°, d 2.466, I = 70, hkl 1 1 -3; 36.66°, d 2.451, I = 74, hkl 1 1 3; 37.52°, d 2.397, I = 38, hkl 1 2 -1


Diffraction record for CrCoP2O8. The powder XRD pattern is simulated, not measured: it uses a crystal structure in the Materials Project, relaxed with GGA+U and a wavelength of 1.5418 Å.
Neutral-atom scattering factors, no anomalous dispersion.

Structural model:
a = 4.791 Å, b = 5.803 Å, c = 9.921 Å
α = 90.00°, β = 90.10°, γ = 90.00°
Space group P2_1/m (No. 11)
One atom of each set of equivalent atoms:
Cr 0.027 0.250 0.271 [2 per cell]
Co 0.456 0.250 0.773 [2 per cell]
P 0.090 0.750 0.406 [2 per cell]
P 0.423 0.750 0.908 [2 per cell]
O 0.170 0.750 0.555 [2 per cell]
O 0.228 0.250 0.612 [2 per cell]
O 0.234 0.543 0.329 [4 per cell]
O 0.263 0.250 0.109 [2 per cell]
O 0.274 0.545 0.828 [4 per cell]
O 0.335 0.750 0.055 [2 per cell]

Top 10 peaks for 2θ from 10° to 80°, low angle first:
17.88°, d 4.960, I = 64, hkl 0 0 2; 20.58°, d 4.315, I = 82, hkl 1 0 -1; 23.60°, d 3.770, I = 24, hkl 0 1 2; 25.73°, d 3.462, I = 87, hkl 1 1 1; 30.82°, d 2.901, I = 69, hkl 0 2 0; 36.46°, d 2.464, I = 100, hkl 1 1 3; 37.35°, d 2.408, I = 25, hkl 1 2 -1; 49.33°, d 1.847, I = 18, hkl 2 2 0; 52.89°, d 1.731, I = 26, hkl 2 2 2; 58.55°, d 1.577, I = 24, hkl 1 3 3